Computed X-ray diffraction stick pattern of RbMg6WO8 for λ = 1.5418 Å (Cu Kα), from a cell relaxed with GGA+U.

```
RbMg6WO8
1.0
4.572 0.000 0.000
0.000 4.572 0.000
0.000 0.000 9.067
Rb Mg W O
1 6 1 8
Cartesian
0.000 0.000 0.000
0.000 2.286 2.145
0.000 2.286 6.922
2.286 0.000 2.145
2.286 0.000 6.922
2.286 2.286 0.000
2.286 2.286 4.533
0.000 0.000 4.533
0.000 0.000 2.458
0.000 0.000 6.608
0.000 2.286 0.000
0.000 2.286 4.533
2.286 0.000 0.000
2.286 0.000 4.533
2.286 2.286 2.304
2.286 2.286 6.762
```

Principal peaks in the range 2θ from 15° to 90°, in order of rising 2θ:
2θ 19.42, d 4.572, I = 92; 2θ 19.58, d 4.533, I = 46; 2θ 27.71, d 3.219, I = 79; 2θ 34.06, d 2.632, I = 81; 2θ 39.42, d 2.286, I = 100; 2θ 39.77, d 2.267, I = 47; 2θ 44.34, d 2.043, I = 45; 2θ 57.24, d 1.609, I = 59

***

Computed X-ray diffraction stick pattern of Li7Mn8B8O24 for λ = 1.5418 Å (Cu Kα), from a cell relaxed with GGA+U.

```
Li7Mn8B8O24
1.0
5.228 0.000 0.000
0.114 9.115 0.000
2.438 4.178 10.470
Li Mn B O
7 8 8 24
Cartesian
0.000 0.000 0.000
0.685 1.385 2.507
2.316 4.459 5.262
3.237 5.809 7.995
3.380 5.865 2.581
5.008 9.003 5.269
5.915 10.353 7.788
2.466 10.467 5.573
3.404 8.867 8.268
2.651 7.391 0.300
3.285 2.884 2.974
5.000 5.964 5.643
5.855 4.214 8.220
5.061 3.262 0.371
5.985 7.514 2.973
2.401 7.407 5.705
3.367 11.843 8.270
2.558 1.370 0.428
3.351 9.004 3.037
4.962 2.866 5.641
5.943 7.333 8.311
5.216 6.011 0.457
5.925 4.524 3.016
0.598 7.240 0.734
2.602 10.770 7.818
2.696 3.980 8.443
0.792 4.944 0.003
1.186 1.449 0.539
2.051 4.536 3.245
2.931 6.146 5.942
2.513 10.087 3.367
3.176 8.531 6.010
2.800 7.799 2.609
3.654 3.004 5.163
4.717 11.632 8.571
3.344 2.444 0.874
5.675 4.427 10.423
5.241 6.198 7.908
5.433 8.578 8.172
3.887 5.796 0.659
4.721 9.158 3.180
5.635 10.729 5.783
5.705 3.998 5.994
5.130 5.598 3.404
5.306 3.396 2.418
6.331 7.557 5.216
7.273 7.180 8.842
```

Principal peaks in the range 2θ from 15° to 90°, in order of rising 2θ:
2θ 19.68, d 4.510, I = 51; 2θ 21.45, d 4.142, I = 45; 2θ 21.56, d 4.122, I = 62; 2θ 25.44, d 3.501, I = 51; 2θ 26.40, d 3.376, I = 35; 2θ 34.26, d 2.618, I = 100; 2θ 34.33, d 2.613, I = 62; 2θ 40.21, d 2.243, I = 49

***

Computed X-ray diffraction stick pattern of CoSeO5 for λ = 1.5418 Å (Cu Kα), from a cell relaxed with GGA+U.

```
CoSeO5
1.0
3.417 -4.234 0.000
3.417 4.234 0.000
-2.886 0.000 6.401
Co Se O
2 2 10
Cartesian
0.000 0.000 0.000
-1.443 0.000 3.200
1.253 1.455 4.801
2.696 -1.455 1.600
2.696 3.795 1.600
0.141 2.374 5.675
0.457 0.476 3.690
2.364 2.374 3.927
1.900 -0.476 0.490
2.049 0.476 5.911
1.584 -2.374 2.474
3.492 -0.476 2.711
3.807 -2.374 0.726
1.253 -3.795 4.801
```

Principal peaks in the range 2θ from 15° to 90°, in order of rising 2θ:
2θ 18.51, d 4.794, I = 100; 2θ 25.22, d 3.531, I = 47; 2θ 25.94, d 3.435, I = 58; 2θ 27.66, d 3.226, I = 67; 2θ 28.66, d 3.115, I = 55; 2θ 33.78, d 2.654, I = 28; 2θ 34.90, d 2.571, I = 54; 2θ 35.15, d 2.553, I = 33